Starting from a crystal structure in Alexandria, relaxed with GGA-PBE, the X-ray diffraction stick pattern of Rb5Tl2Sn4 was computed for λ = 1.5418 Å (Cu Kα).
Lines closer than 0.1° are merged.

The 10 most intense peaks (10 to 90 degrees two-theta), by angle:
d/Å	Rel. int.
7.655	86
3.991	47
3.628	39
3.363	92
3.303	100
3.278	42
3.150	96
2.819	97
2.633	40
1.940	38

Crystal structure
abc: 8.865 8.865 8.445
angles: 107.14 107.14 48.31
Atoms (fractional coordinates):
Rb1 0.000 0.000 0.000
Rb2 0.151 0.627 0.577
Rb3 0.373 0.849 0.423
Rb4 0.627 0.151 0.577
Rb5 0.849 0.373 0.423
Tl1 0.216 0.216 0.825
Tl2 0.784 0.784 0.175
Sn1 0.237 0.237 0.210
Sn2 0.393 0.393 0.135
Sn3 0.607 0.607 0.865
Sn4 0.763 0.763 0.790